Entry 1:
Structure and calculated X-ray powder pattern of Cs5NpSe6 (the GGA-PBE geometry in Alexandria; a wavelength of 1.5418 Å).
Neutral-atom scattering factors, no anomalous dispersion.

Peak list (10 most intense, 10° ≤ 2θ ≤ 80°, most intense first)
| d [Å] | 2theta | I/Imax |
| --- | --- | --- |
| 3.485 | 25.56 | 100.0 |
| 3.523 | 25.28 | 50.4 |
| 2.449 | 36.69 | 46.3 |
| 2.506 | 35.83 | 30.6 |
| 4.058 | 21.90 | 26.2 |
| 7.157 | 12.37 | 18.7 |
| 2.122 | 42.61 | 18.4 |
| 2.482 | 36.19 | 15.3 |
| 7.923 | 11.17 | 14.3 |
| 4.080 | 21.78 | 13.6 |

Cell and atoms:
```
data_Cs5NpSe6
_space_group_name_H-M_alt 'C 1 2/m 1'
_space_group_IT_number 12
_cell_length_a 8.7093
_cell_length_b 14.8933
_cell_length_c 8.4553
_cell_angle_alpha 90.00
_cell_angle_beta 110.45
_cell_angle_gamma 90.00
loop_
_space_group_symop_operation_xyz
'x,y,z'
'-x,-y,-z'
'-x,y,-z'
'x,-y,z'
'x+1/2,y+1/2,z'
'-x+1/2,-y+1/2,-z'
'-x+1/2,y+1/2,-z'
'x+1/2,-y+1/2,z'
loop_
_atom_site_label
_atom_site_type_symbol
_atom_site_fract_x
_atom_site_fract_y
_atom_site_fract_z
_atom_site_occupancy
Cs1 Cs 0.0000 0.0000 0.0000 1
Cs2 Cs 0.0000 0.1654 0.5000 1
Cs3 Cs 0.0000 0.3283 0.0000 1
Np1 Np 0.0000 0.5000 0.5000 1
Se1 Se 0.1848 0.5000 0.3039 1
Se2 Se 0.1931 0.3719 0.6973 1
```

=====

Entry 2:
Structure and calculated X-ray powder pattern of CsNpSnSe3 (the GGA-PBE geometry in Alexandria; a wavelength of 1.5418 Å).
Neutral-atom scattering factors, no anomalous dispersion.

Peak list (10 most intense, 10° ≤ 2θ ≤ 80°, most intense first)
| d [Å] | 2theta | I/Imax |
| --- | --- | --- |
| 8.338 | 10.61 | 100.0 |
| 3.071 | 29.08 | 93.6 |
| 2.909 | 30.73 | 40.0 |
| 3.487 | 25.54 | 36.2 |
| 2.096 | 43.16 | 36.0 |
| 2.681 | 33.43 | 25.9 |
| 2.152 | 41.98 | 24.6 |
| 2.511 | 35.76 | 23.3 |
| 1.731 | 52.90 | 22.8 |
| 3.658 | 24.33 | 19.2 |

Cell and atoms:
```
data_CsNpSnSe3
_space_group_name_H-M_alt 'P 1 21/m 1'
_space_group_IT_number 11
_cell_length_a 9.2983
_cell_length_b 4.3045
_cell_length_c 11.6399
_cell_angle_alpha 90.00
_cell_angle_beta 109.49
_cell_angle_gamma 90.00
loop_
_space_group_symop_operation_xyz
'x,y,z'
'-x,-y,-z'
'-x,y+1/2,-z'
'x,-y+1/2,z'
loop_
_atom_site_label
_atom_site_type_symbol
_atom_site_fract_x
_atom_site_fract_y
_atom_site_fract_z
_atom_site_occupancy
Cs1 Cs 0.2253 0.2500 0.2615 1
Np1 Np 0.3600 0.7500 0.8486 1
Sn1 Sn 0.1425 0.2500 0.5671 1
Se1 Se 0.1284 0.2500 0.7947 1
Se2 Se 0.3416 0.7500 0.5918 1
Se3 Se 0.4187 0.7500 0.1062 1
```

=====

Entry 3:
Structure and calculated X-ray powder pattern of CsNp2Te2Se (the GGA-PBE geometry in Alexandria; a wavelength of 1.5418 Å).
Neutral-atom scattering factors, no anomalous dispersion.

Peak list (10 most intense, 10° ≤ 2θ ≤ 80°, most intense first)
| d [Å] | 2theta | I/Imax |
| --- | --- | --- |
| 8.216 | 10.77 | 100.0 |
| 3.484 | 25.57 | 68.5 |
| 2.720 | 32.93 | 66.0 |
| 3.278 | 27.20 | 52.5 |
| 2.808 | 31.87 | 41.2 |
| 2.231 | 40.43 | 32.2 |
| 2.093 | 43.22 | 29.6 |
| 1.639 | 56.11 | 27.5 |
| 2.582 | 34.74 | 26.5 |
| 1.923 | 47.26 | 24.2 |

Cell and atoms:
```
data_CsNp2Te2Se
_space_group_name_H-M_alt 'P 4/m m m'
_space_group_IT_number 123
_space_group_name_Hall '-P 4 2'
_cell_length_a 5.4397
_cell_length_b 5.4397
_cell_length_c 8.2162
_cell_angle_alpha 90.00
_cell_angle_beta 90.00
_cell_angle_gamma 90.00
loop_
_atom_site_label
_atom_site_type_symbol
_atom_site_fract_x
_atom_site_fract_y
_atom_site_fract_z
_atom_site_occupancy
Cs1 Cs 0.0000 0.0000 0.0000 1
Np1 Np 0.0000 0.5000 0.5000 1
Te1 Te 0.5000 0.5000 0.2691 1
Se1 Se 0.0000 0.0000 0.5000 1
```

=====

Entry 4:
Structure and calculated X-ray powder pattern of Cs2NpTlSe4 (the GGA-PBE geometry in Alexandria; a wavelength of 1.5418 Å).
Neutral-atom scattering factors, no anomalous dispersion.

Peak list (10 most intense, 10° ≤ 2θ ≤ 80°, most intense first)
| d [Å] | 2theta | I/Imax |
| --- | --- | --- |
| 6.678 | 13.26 | 100.0 |
| 3.855 | 23.07 | 67.1 |
| 2.653 | 33.79 | 36.5 |
| 3.698 | 24.07 | 30.0 |
| 3.041 | 29.37 | 29.7 |
| 3.233 | 27.59 | 28.2 |
| 2.034 | 44.56 | 21.3 |
| 2.470 | 36.37 | 21.0 |
| 2.230 | 40.44 | 19.5 |
| 2.522 | 35.59 | 19.0 |

Cell and atoms:
```
data_Cs2NpTlSe4
_space_group_name_H-M_alt 'F d d d'
_space_group_IT_number 70
_cell_length_a 6.6136
_cell_length_b 15.4727
_cell_length_c 26.6549
_cell_angle_alpha 90.00
_cell_angle_beta 90.00
_cell_angle_gamma 90.00
loop_
_space_group_symop_operation_xyz
'x,y,z'
'-x,-y,-z'
'-x+1/4,-y+1/4,z'
'x+1/4,y+1/4,-z'
'x,-y+1/4,-z+1/4'
'-x,y+1/4,z+1/4'
'-x+1/4,y,-z+1/4'
'x+1/4,-y,z+1/4'
'x,y+1/2,z+1/2'
'-x,-y+1/2,-z+1/2'
'-x+1/4,-y+3/4,z+1/2'
'x+1/4,y+3/4,-z+1/2'
'x,-y+3/4,-z+3/4'
'-x,y+3/4,z+3/4'
'-x+1/4,y+1/2,-z+3/4'
'x+1/4,-y+1/2,z+3/4'
'x+1/2,y,z+1/2'
'-x+1/2,-y,-z+1/2'
'-x+3/4,-y+1/4,z+1/2'
'x+3/4,y+1/4,-z+1/2'
'x+1/2,-y+1/4,-z+3/4'
'-x+1/2,y+1/4,z+3/4'
'-x+3/4,y,-z+3/4'
'x+3/4,-y,z+3/4'
'x+1/2,y+1/2,z'
'-x+1/2,-y+1/2,-z'
'-x+3/4,-y+3/4,z'
'x+3/4,y+3/4,-z'
'x+1/2,-y+3/4,-z+1/4'
'-x+1/2,y+3/4,z+1/4'
'-x+3/4,y+1/2,-z+1/4'
'x+3/4,-y+1/2,z+1/4'
loop_
_atom_site_label
_atom_site_type_symbol
_atom_site_fract_x
_atom_site_fract_y
_atom_site_fract_z
_atom_site_occupancy
Cs1 Cs 0.1250 0.1250 0.3050 1
Np1 Np 0.1250 0.1250 0.1250 1
Tl1 Tl 0.1250 0.1250 0.6250 1
Se1 Se 0.1219 0.2694 0.4303 1
```

=====

Entry 5:
Structure and calculated X-ray powder pattern of Cs3Tm3NpSe8 (the GGA-PBE geometry in Alexandria; a wavelength of 1.5418 Å).
Neutral-atom scattering factors, no anomalous dispersion.

Peak list (10 most intense, 10° ≤ 2θ ≤ 80°, most intense first)
| d [Å] | 2theta | I/Imax |
| --- | --- | --- |
| 3.145 | 28.38 | 100.0 |
| 2.086 | 43.37 | 47.9 |
| 8.522 | 10.38 | 44.6 |
| 2.394 | 37.58 | 32.8 |
| 1.738 | 52.65 | 17.8 |
| 2.568 | 34.93 | 16.5 |
| 1.335 | 70.52 | 14.9 |
| 4.261 | 20.85 | 12.7 |
| 3.477 | 25.62 | 12.0 |
| 1.204 | 79.60 | 10.9 |

Cell and atoms:
```
data_Cs3Tm3NpSe8
_space_group_name_H-M_alt 'R -3 m'
_space_group_IT_number 166
_space_group_name_Hall '-R 3 2"'
_cell_length_a 8.3436
_cell_length_b 8.3436
_cell_length_c 25.5655
_cell_angle_alpha 90.00
_cell_angle_beta 90.00
_cell_angle_gamma 120.00
loop_
_atom_site_label
_atom_site_type_symbol
_atom_site_fract_x
_atom_site_fract_y
_atom_site_fract_z
_atom_site_occupancy
Cs1 Cs 0.0000 0.5000 0.0000 1
Tm1 Tm 0.0000 0.5000 0.5000 1
Np1 Np 0.0000 0.0000 0.5000 1
Se1 Se 0.0000 0.0000 0.2272 1
Se2 Se 0.0001 0.5000 0.2270 1
```

=====

Entry 6:
Structure and calculated X-ray powder pattern of Cs2NpU2Se6 (the GGA-PBE geometry in Alexandria; a wavelength of 1.5418 Å).
Neutral-atom scattering factors, no anomalous dispersion.

Peak list (10 most intense, 10° ≤ 2θ ≤ 80°, most intense first)
| d [Å] | 2theta | I/Imax |
| --- | --- | --- |
| 8.600 | 10.29 | 100.0 |
| 3.176 | 28.10 | 99.3 |
| 2.105 | 42.96 | 71.8 |
| 2.416 | 37.22 | 51.0 |
| 3.171 | 28.14 | 49.1 |
| 2.592 | 34.60 | 32.1 |
| 1.754 | 52.13 | 26.9 |
| 3.509 | 25.38 | 23.7 |
| 1.348 | 69.78 | 22.9 |
| 4.300 | 20.66 | 21.7 |

Cell and atoms:
```
data_Cs2NpU2Se6
_space_group_name_H-M_alt 'C 1 2/m 1'
_space_group_IT_number 12
_cell_length_a 7.2904
_cell_length_b 12.6346
_cell_length_c 8.9326
_cell_angle_alpha 90.00
_cell_angle_beta 105.67
_cell_angle_gamma 90.00
loop_
_space_group_symop_operation_xyz
'x,y,z'
'-x,-y,-z'
'-x,y,-z'
'x,-y,z'
'x+1/2,y+1/2,z'
'-x+1/2,-y+1/2,-z'
'-x+1/2,y+1/2,-z'
'x+1/2,-y+1/2,z'
loop_
_atom_site_label
_atom_site_type_symbol
_atom_site_fract_x
_atom_site_fract_y
_atom_site_fract_z
_atom_site_occupancy
Cs1 Cs 0.0000 0.1661 0.0000 1
Np1 Np 0.0000 0.0000 0.5000 1
U1 U 0.0000 0.3338 0.5000 1
Se1 Se 0.2239 0.5000 0.6829 1
Se2 Se 0.2287 0.1685 0.6826 1
```

=====

Entry 7:
Structure and calculated X-ray powder pattern of Cs4Y3NpSe8 (the GGA-PBE geometry in Alexandria; a wavelength of 1.5418 Å).
Neutral-atom scattering factors, no anomalous dispersion.

Peak list (10 most intense, 10° ≤ 2θ ≤ 80°, most intense first)
| d [Å] | 2theta | I/Imax |
| --- | --- | --- |
| 3.201 | 27.87 | 100.0 |
| 2.149 | 42.05 | 36.2 |
| 2.399 | 37.50 | 32.0 |
| 1.784 | 51.21 | 18.1 |
| 1.373 | 68.34 | 16.0 |
| 2.081 | 43.49 | 10.7 |
| 1.600 | 57.59 | 9.3 |
| 1.283 | 73.83 | 8.9 |
| 4.183 | 21.24 | 8.8 |
| 3.568 | 24.96 | 8.7 |

Cell and atoms:
```
data_Cs4Y3NpSe8
_space_group_name_H-M_alt 'R -3 m'
_space_group_IT_number 166
_space_group_name_Hall '-R 3 2"'
_cell_length_a 8.5945
_cell_length_b 8.5945
_cell_length_c 25.0974
_cell_angle_alpha 90.00
_cell_angle_beta 90.00
_cell_angle_gamma 120.00
loop_
_atom_site_label
_atom_site_type_symbol
_atom_site_fract_x
_atom_site_fract_y
_atom_site_fract_z
_atom_site_occupancy
Cs1 Cs 0.0000 0.0000 0.0000 1
Cs2 Cs 0.0000 0.5000 0.0000 1
Y1 Y 0.0000 0.5000 0.5000 1
Np1 Np 0.0000 0.0000 0.5000 1
Se1 Se 0.0000 0.0000 0.2286 1
Se2 Se 0.0037 0.5018 0.7715 1
```

=====

Entry 8:
Structure and calculated X-ray powder pattern of Cs3NpSn2Te6 (the GGA-PBE geometry in Alexandria; a wavelength of 1.5418 Å).
Neutral-atom scattering factors, no anomalous dispersion.

Peak list (10 most intense, 10° ≤ 2θ ≤ 80°, most intense first)
| d [Å] | 2theta | I/Imax |
| --- | --- | --- |
| 3.449 | 25.83 | 100.0 |
| 2.343 | 38.42 | 39.1 |
| 2.547 | 35.23 | 29.2 |
| 8.726 | 10.14 | 16.9 |
| 1.493 | 62.16 | 16.0 |
| 1.937 | 46.91 | 12.8 |
| 2.750 | 32.56 | 11.4 |
| 1.724 | 53.11 | 8.9 |
| 2.053 | 44.11 | 7.2 |
| 1.698 | 53.99 | 7.1 |

Cell and atoms:
```
data_Cs3NpSn2Te6
_space_group_name_H-M_alt 'C 1 2/m 1'
_space_group_IT_number 12
_cell_length_a 8.1222
_cell_length_b 14.0470
_cell_length_c 9.1309
_cell_angle_alpha 90.00
_cell_angle_beta 107.12
_cell_angle_gamma 90.00
loop_
_space_group_symop_operation_xyz
'x,y,z'
'-x,-y,-z'
'-x,y,-z'
'x,-y,z'
'x+1/2,y+1/2,z'
'-x+1/2,-y+1/2,-z'
'-x+1/2,y+1/2,-z'
'x+1/2,-y+1/2,z'
loop_
_atom_site_label
_atom_site_type_symbol
_atom_site_fract_x
_atom_site_fract_y
_atom_site_fract_z
_atom_site_occupancy
Cs1 Cs 0.0000 0.0000 0.0000 1
Cs2 Cs 0.0000 0.3261 0.0000 1
Np1 Np 0.0000 0.5000 0.5000 1
Sn1 Sn 0.0000 0.1655 0.5000 1
Te1 Te 0.2194 0.3418 0.6847 1
Te2 Te 0.2471 0.0000 0.6879 1
```

=====

Entry 9:
Structure and calculated X-ray powder pattern of CsNpTe4 (the GGA-PBE geometry in Alexandria; a wavelength of 1.5418 Å).
Neutral-atom scattering factors, no anomalous dispersion.

Peak list (10 most intense, 10° ≤ 2θ ≤ 80°, most intense first)
| d [Å] | 2theta | I/Imax |
| --- | --- | --- |
| 3.423 | 26.03 | 100.0 |
| 2.933 | 30.47 | 70.3 |
| 2.800 | 31.96 | 52.9 |
| 2.178 | 41.46 | 49.4 |
| 1.539 | 60.13 | 28.1 |
| 2.594 | 34.58 | 27.1 |
| 1.896 | 47.99 | 22.7 |
| 1.621 | 56.79 | 21.4 |
| 4.870 | 18.22 | 15.7 |
| 2.679 | 33.45 | 14.9 |

Cell and atoms:
```
data_CsNpTe4
_space_group_name_H-M_alt 'P 4/n b m'
_space_group_IT_number 125
_cell_length_a 6.8870
_cell_length_b 6.8870
_cell_length_c 9.6230
_cell_angle_alpha 90.00
_cell_angle_beta 90.00
_cell_angle_gamma 90.00
loop_
_space_group_symop_operation_xyz
'x,y,z'
'-x,-y,-z'
'-y+1/2,x,z'
'y+1/2,-x,-z'
'-x+1/2,-y+1/2,z'
'x+1/2,y+1/2,-z'
'y,-x+1/2,z'
'-y,x+1/2,-z'
'x,-y+1/2,-z'
'-x,y+1/2,z'
'-y+1/2,-x+1/2,-z'
'y+1/2,x+1/2,z'
'-x+1/2,y,-z'
'x+1/2,-y,z'
'y,x,-z'
'-y,-x,z'
loop_
_atom_site_label
_atom_site_type_symbol
_atom_site_fract_x
_atom_site_fract_y
_atom_site_fract_z
_atom_site_occupancy
Cs1 Cs 0.2500 0.2500 0.0000 1
Np1 Np 0.2500 0.2500 0.5000 1
Te1 Te 0.1020 0.6020 0.3099 1
```

=====

Entry 10:
Structure and calculated X-ray powder pattern of Cs4NpTe5 (the GGA-PBE geometry in Alexandria; a wavelength of 1.5418 Å).
Neutral-atom scattering factors, no anomalous dispersion.

Peak list (10 most intense, 10° ≤ 2θ ≤ 80°, most intense first)
| d [Å] | 2theta | I/Imax |
| --- | --- | --- |
| 3.456 | 25.78 | 100.0 |
| 3.030 | 29.48 | 90.8 |
| 2.976 | 30.03 | 69.7 |
| 2.123 | 42.59 | 53.5 |
| 4.130 | 21.52 | 35.2 |
| 2.186 | 41.30 | 29.9 |
| 1.797 | 50.81 | 26.5 |
| 1.728 | 52.99 | 22.9 |
| 2.104 | 42.99 | 20.8 |
| 1.335 | 70.52 | 20.6 |

Cell and atoms:
```
data_Cs4NpTe5
_space_group_name_H-M_alt 'I 4/m m m'
_space_group_IT_number 139
_space_group_name_Hall '-I 4 2'
_cell_length_a 12.6240
_cell_length_b 12.6240
_cell_length_c 6.0580
_cell_angle_alpha 90.00
_cell_angle_beta 90.00
_cell_angle_gamma 90.00
loop_
_atom_site_label
_atom_site_type_symbol
_atom_site_fract_x
_atom_site_fract_y
_atom_site_fract_z
_atom_site_occupancy
Cs1 Cs 0.0000 0.2841 0.0000 1
Np1 Np 0.0000 0.0000 0.5000 1
Te1 Te 0.0000 0.0000 0.0000 1
Te2 Te 0.1658 0.1658 0.5000 1
```

=====

Entry 11:
Structure and calculated X-ray powder pattern of Cs2ZrNp2Te6 (the GGA-PBE geometry in Alexandria; a wavelength of 1.5418 Å).
Neutral-atom scattering factors, no anomalous dispersion.

Peak list (10 most intense, 10° ≤ 2θ ≤ 80°, most intense first)
| d [Å] | 2theta | I/Imax |
| --- | --- | --- |
| 3.314 | 26.90 | 100.0 |
| 3.342 | 26.67 | 49.9 |
| 2.192 | 41.19 | 36.0 |
| 2.557 | 35.09 | 32.2 |
| 1.828 | 49.88 | 26.6 |
| 2.726 | 32.86 | 21.1 |
| 2.184 | 41.34 | 18.7 |
| 2.543 | 35.30 | 18.6 |
| 1.401 | 66.78 | 14.7 |
| 2.097 | 43.14 | 14.0 |

Cell and atoms:
```
data_Cs2ZrNp2Te6
_space_group_name_H-M_alt 'C 1 2/m 1'
_space_group_IT_number 12
_cell_length_a 7.6000
_cell_length_b 13.1065
_cell_length_c 9.5691
_cell_angle_alpha 90.00
_cell_angle_beta 105.88
_cell_angle_gamma 90.00
loop_
_space_group_symop_operation_xyz
'x,y,z'
'-x,-y,-z'
'-x,y,-z'
'x,-y,z'
'x+1/2,y+1/2,z'
'-x+1/2,-y+1/2,-z'
'-x+1/2,y+1/2,-z'
'x+1/2,-y+1/2,z'
loop_
_atom_site_label
_atom_site_type_symbol
_atom_site_fract_x
_atom_site_fract_y
_atom_site_fract_z
_atom_site_occupancy
Cs1 Cs 0.0000 0.1696 0.0000 1
Zr1 Zr 0.0000 0.0000 0.5000 1
Np1 Np 0.0000 0.3322 0.5000 1
Te1 Te 0.2260 0.1580 0.6885 1
Te2 Te 0.2442 0.5000 0.6865 1
```

=====

Entry 12:
Structure and calculated X-ray powder pattern of Cs2O3 (the GGA-PBE geometry in Alexandria; a wavelength of 1.5418 Å).
Neutral-atom scattering factors, no anomalous dispersion.

Peak list (10 most intense, 10° ≤ 2θ ≤ 80°, most intense first)
| d [Å] | 2theta | I/Imax |
| --- | --- | --- |
| 3.133 | 28.49 | 100.0 |
| 3.503 | 25.43 | 78.3 |
| 1.943 | 46.75 | 62.3 |
| 2.648 | 33.85 | 53.6 |
| 4.045 | 21.98 | 27.1 |
| 2.112 | 42.81 | 26.2 |
| 1.809 | 50.45 | 22.7 |
| 1.348 | 69.75 | 20.1 |
| 1.529 | 60.57 | 18.5 |
| 1.324 | 71.22 | 15.1 |

Cell and atoms:
```
data_Cs2O3
_space_group_name_H-M_alt 'I -4 3 d'
_space_group_IT_number 220
_space_group_name_Hall 'I -4bd 2c 3'
_cell_length_a 9.9077
_cell_length_b 9.9077
_cell_length_c 9.9077
_cell_angle_alpha 90.00
_cell_angle_beta 90.00
_cell_angle_gamma 90.00
loop_
_atom_site_label
_atom_site_type_symbol
_atom_site_fract_x
_atom_site_fract_y
_atom_site_fract_z
_atom_site_occupancy
Cs1 Cs 0.0508 0.0508 0.0508 1
O1 O 0.0000 0.2500 0.3042 1
```